PrIn2Pd: computed powder diffractogram (λ = 1.5418 Å (Cu Kα)), based on the GGA-PBE geometry in OQMD.
Peak positions follow from Bragg's law for the DFT cell and can differ from measured ones.

Top 8 peaks for 2θ from 15° to 90°, by angle:
| d (Å) | 2θ/deg | Rel. int. |
| --- | --- | --- |
| 2.820 | 31.73 | 35.2 |
| 2.710 | 33.05 | 100.0 |
| 2.619 | 34.23 | 16.7 |
| 2.601 | 34.48 | 21.2 |
| 2.441 | 36.82 | 33.4 |
| 2.356 | 38.20 | 27.3 |
| 2.307 | 39.04 | 19.2 |
| 2.278 | 39.56 | 18.9 |

Structural model:
Lattice parameters (Å, degrees): 11.037 11.037 11.037 100.36 100.36 129.83
Atoms (fractional coordinates):
Pr: 0.000 0.000 0.000
Pr: 0.085 0.085 0.406
Pr: 0.085 0.679 0.000
Pr: 0.114 0.395 0.719
Pr: 0.395 0.114 0.719
Pr: 0.395 0.675 0.281
Pr: 0.470 0.470 0.000
Pr: 0.675 0.395 0.281
Pr: 0.679 0.085 0.000
Pr: 0.679 0.679 0.594
In: 0.093 0.093 0.733
In: 0.093 0.360 0.000
In: 0.255 0.872 0.383
In: 0.274 0.485 0.494
In: 0.274 0.780 0.788
In: 0.360 0.093 0.000
In: 0.360 0.360 0.267
In: 0.485 0.274 0.494
In: 0.485 0.992 0.212
In: 0.489 0.872 0.617
In: 0.561 0.726 0.834
In: 0.726 0.561 0.834
In: 0.726 0.892 0.166
In: 0.780 0.274 0.788
In: 0.780 0.992 0.506
In: 0.872 0.255 0.383
In: 0.872 0.489 0.617
In: 0.892 0.726 0.166
In: 0.992 0.485 0.212
In: 0.992 0.780 0.506
Pd: 0.036 0.254 0.218
Pd: 0.036 0.818 0.782
Pd: 0.125 0.625 0.500
Pd: 0.254 0.036 0.218
Pd: 0.384 0.384 0.680
Pd: 0.384 0.704 0.000
Pd: 0.625 0.125 0.500
Pd: 0.704 0.384 0.000
Pd: 0.704 0.704 0.320
Pd: 0.818 0.036 0.782

PrSmIn4Pd2: computed powder diffractogram (λ = 1.5418 Å (Cu Kα)), based on the GGA-PBE geometry in OQMD.
Peak positions follow from Bragg's law for the DFT cell and can differ from measured ones.

Top 8 peaks for 2θ from 15° to 90°, by angle:
| d (Å) | 2θ/deg | Rel. int. |
| --- | --- | --- |
| 2.807 | 31.88 | 100.0 |
| 2.658 | 33.72 | 35.6 |
| 2.649 | 33.83 | 35.5 |
| 2.537 | 35.39 | 31.0 |
| 2.313 | 38.94 | 43.5 |
| 2.263 | 39.84 | 38.4 |
| 2.258 | 39.93 | 16.7 |
| 2.150 | 42.03 | 19.0 |

Structural model:
Lattice parameters (Å, degrees): 4.625 7.475 5.860 90.00 113.02 90.00
Atoms (fractional coordinates):
Pr: 0.000 0.000 0.000
Sm: 0.154 0.500 0.306
In: 0.440 0.300 0.877
In: 0.440 0.700 0.877
In: 0.714 0.201 0.428
In: 0.714 0.799 0.428
Pd: 0.282 0.000 0.567
Pd: 0.871 0.500 0.739

In2PdPt5: computed powder diffractogram (λ = 1.5418 Å (Cu Kα)), based on the GGA-PBE geometry in OQMD.
Peak positions follow from Bragg's law for the DFT cell and can differ from measured ones.

Top 8 peaks for 2θ from 15° to 90°, by angle:
| d (Å) | 2θ/deg | Rel. int. |
| --- | --- | --- |
| 2.337 | 38.52 | 100.0 |
| 2.026 | 44.73 | 32.7 |
| 2.021 | 44.86 | 16.4 |
| 1.433 | 65.11 | 10.6 |
| 1.431 | 65.21 | 21.3 |
| 1.221 | 78.27 | 25.1 |
| 1.219 | 78.45 | 12.7 |
| 1.169 | 82.55 | 11.1 |

Structural model:
Lattice parameters (Å, degrees): 5.729 11.464 4.041 90.00 90.00 90.00
Atoms (fractional coordinates):
In: 0.241 0.123 0.000
In: 0.259 0.623 0.000
In: 0.741 0.377 0.000
In: 0.759 0.877 0.000
Pd: 0.000 0.000 0.500
Pd: 0.500 0.500 0.500
Pt: 0.000 0.500 0.500
Pt: 0.010 0.749 0.500
Pt: 0.242 0.373 0.000
Pt: 0.258 0.873 0.000
Pt: 0.490 0.249 0.500
Pt: 0.500 0.000 0.500
Pt: 0.510 0.751 0.500
Pt: 0.742 0.127 0.000
Pt: 0.758 0.627 0.000
Pt: 0.990 0.251 0.500